1.
Starting from a crystal structure in Alexandria, relaxed with PBE, the X-ray diffraction stick pattern of LiCu4As3Pb2 was computed for Cu Kα X-rays.
Lines closer than 0.1° are merged.

Most intense lines, 2θ from 10° to 90°, by angle:
2θ 16.2, I = 18
2θ 23.3, I = 23
2θ 31.0, I = 35
2θ 32.9, I = 82
2θ 35.2, I = 100
2θ 44.4, I = 49
2θ 47.1, I = 43
2θ 56.4, I = 36
2θ 64.6, I = 16
2θ 66.7, I = 30
2θ 75.8, I = 21
2θ 85.4, I = 11

Structure:
```
data_LiCu4As3Pb2
_symmetry_space_group_name_H-M 'P 1'
_symmetry_Int_Tables_number 1
_symmetry_space_group_name_Hall 'P 1'
_cell_length_a 4.079
_cell_length_b 4.079
_cell_length_c 10.958
_cell_angle_alpha 90.00
_cell_angle_beta 90.00
_cell_angle_gamma 90.00
loop_
_atom_site_label
_atom_site_type_symbol
_atom_site_fract_x
_atom_site_fract_y
_atom_site_fract_z
_atom_site_occupancy
Li1 Li 0.000 0.000 0.000 1
Cu1 Cu 0.000 0.000 0.500 1
Cu2 Cu 0.000 0.500 0.143 1
Cu3 Cu 0.500 0.000 0.857 1
Cu4 Cu 0.500 0.500 0.500 1
As1 As 0.000 0.500 0.367 1
As2 As 0.500 0.000 0.633 1
As3 As 0.500 0.500 0.000 1
Pb1 Pb 0.000 0.500 0.760 1
Pb2 Pb 0.500 0.000 0.240 1
```


2.
Starting from a crystal structure in Alexandria, relaxed with PBE, the X-ray diffraction stick pattern of DyLuSnRh was computed for Cu Kα X-rays.
Lines closer than 0.1° are merged.

Most intense lines, 2θ from 10° to 90°, by angle:
2θ 24.9, I = 4
2θ 35.6, I = 100
2θ 43.9, I = 1
2θ 51.2, I = 18
2θ 57.8, I = 2
2θ 63.9, I = 37
2θ 75.3, I = 11
2θ 80.8, I = 1
2θ 86.2, I = 17

Structure:
```
data_DyLuSnRh
_symmetry_space_group_name_H-M 'P 1'
_symmetry_Int_Tables_number 1
_symmetry_space_group_name_Hall 'P 1'
_cell_length_a 7.138
_cell_length_b 7.138
_cell_length_c 7.138
_cell_angle_alpha 90.00
_cell_angle_beta 90.00
_cell_angle_gamma 90.00
loop_
_atom_site_label
_atom_site_type_symbol
_atom_site_fract_x
_atom_site_fract_y
_atom_site_fract_z
_atom_site_occupancy
Dy1 Dy 0.000 0.000 0.000 1
Dy2 Dy 0.000 0.500 0.500 1
Dy3 Dy 0.500 0.000 0.500 1
Dy4 Dy 0.500 0.500 0.000 1
Lu1 Lu 0.000 0.000 0.500 1
Lu2 Lu 0.000 0.500 0.000 1
Lu3 Lu 0.500 0.000 0.000 1
Lu4 Lu 0.500 0.500 0.500 1
Sn1 Sn 0.250 0.250 0.250 1
Sn2 Sn 0.250 0.750 0.750 1
Sn3 Sn 0.750 0.250 0.750 1
Sn4 Sn 0.750 0.750 0.250 1
Rh1 Rh 0.250 0.250 0.750 1
Rh2 Rh 0.250 0.750 0.250 1
Rh3 Rh 0.750 0.250 0.250 1
Rh4 Rh 0.750 0.750 0.750 1
```


3.
Starting from a crystal structure in Alexandria, relaxed with PBE, the X-ray diffraction stick pattern of Sr4Zn3F14 was computed for Cu Kα X-rays.
Lines closer than 0.1° are merged.

Most intense lines, 2θ from 10° to 90°, by angle:
2θ 25.8, I = 43
2θ 28.7, I = 58
2θ 29.0, I = 100
2θ 29.9, I = 45
2θ 32.5, I = 55
2θ 45.6, I = 36
2θ 47.5, I = 88
2θ 48.7, I = 30
2θ 50.7, I = 26
2θ 53.1, I = 28
2θ 61.6, I = 23
2θ 74.0, I = 23

Structure:
```
data_Sr4Zn3F14
_symmetry_space_group_name_H-M 'P 1'
_symmetry_Int_Tables_number 1
_symmetry_space_group_name_Hall 'P 1'
_cell_length_a 6.898
_cell_length_b 6.898
_cell_length_c 7.199
_cell_angle_alpha 90.00
_cell_angle_beta 90.00
_cell_angle_gamma 120.00
loop_
_atom_site_label
_atom_site_type_symbol
_atom_site_fract_x
_atom_site_fract_y
_atom_site_fract_z
_atom_site_occupancy
Sr1 Sr 0.000 0.000 0.238 1
Sr2 Sr 0.000 0.000 0.762 1
Sr3 Sr 0.333 0.667 0.000 1
Sr4 Sr 0.667 0.333 0.000 1
Zn1 Zn 0.000 0.535 0.500 1
Zn2 Zn 0.465 0.465 0.500 1
Zn3 Zn 0.535 0.000 0.500 1
F1 F 0.000 0.238 0.500 1
F2 F 0.000 0.266 0.000 1
F3 F 0.000 0.608 0.232 1
F4 F 0.000 0.608 0.768 1
F5 F 0.238 0.000 0.500 1
F6 F 0.266 0.000 0.000 1
F7 F 0.333 0.667 0.500 1
F8 F 0.392 0.392 0.232 1
F9 F 0.392 0.392 0.768 1
F10 F 0.608 0.000 0.232 1
F11 F 0.608 0.000 0.768 1
F12 F 0.667 0.333 0.500 1
F13 F 0.734 0.734 0.000 1
F14 F 0.762 0.762 0.500 1
```


4.
Starting from a crystal structure in Alexandria, relaxed with PBE, the X-ray diffraction stick pattern of Zr2Al3Pt was computed for Cu Kα X-rays.
Lines closer than 0.1° are merged.

Most intense lines, 2θ from 10° to 90°, by angle:
2θ 20.4, I = 16
2θ 21.0, I = 41
2θ 23.8, I = 40
2θ 33.5, I = 80
2θ 39.9, I = 100
2θ 40.6, I = 46
2θ 41.5, I = 26
2θ 60.0, I = 15
2θ 64.3, I = 24
2θ 64.7, I = 23
2θ 70.5, I = 16
2θ 72.2, I = 14

Structure:
```
data_Zr2Al3Pt
_symmetry_space_group_name_H-M 'P 1'
_symmetry_Int_Tables_number 1
_symmetry_space_group_name_Hall 'P 1'
_cell_length_a 5.234
_cell_length_b 5.234
_cell_length_c 5.234
_cell_angle_alpha 61.38
_cell_angle_beta 61.38
_cell_angle_gamma 61.38
loop_
_atom_site_label
_atom_site_type_symbol
_atom_site_fract_x
_atom_site_fract_y
_atom_site_fract_z
_atom_site_occupancy
Zr1 Zr 0.126 0.126 0.126 1
Zr2 Zr 0.874 0.874 0.874 1
Al1 Al 0.000 0.500 0.500 1
Al2 Al 0.500 0.000 0.500 1
Al3 Al 0.500 0.500 0.000 1
Pt1 Pt 0.500 0.500 0.500 1
```


5.
Starting from a crystal structure in Alexandria, relaxed with PBE, the X-ray diffraction stick pattern of TaMo was computed for Cu Kα X-rays.
Lines closer than 0.1° are merged.

Most intense lines, 2θ from 10° to 90°, by angle:
2θ 20.7, I = 8
2θ 37.9, I = 5
2θ 38.8, I = 26
2θ 39.4, I = 100
2θ 39.9, I = 24
2θ 56.9, I = 17
2θ 57.0, I = 8
2θ 70.6, I = 19
2θ 71.1, I = 9
2θ 71.9, I = 9
2θ 72.2, I = 17
2θ 84.8, I = 11

Structure:
```
data_TaMo
_symmetry_space_group_name_H-M 'P 1'
_symmetry_Int_Tables_number 1
_symmetry_space_group_name_Hall 'P 1'
_cell_length_a 4.514
_cell_length_b 13.936
_cell_length_c 3.231
_cell_angle_alpha 90.00
_cell_angle_beta 90.00
_cell_angle_gamma 90.00
loop_
_atom_site_label
_atom_site_type_symbol
_atom_site_fract_x
_atom_site_fract_y
_atom_site_fract_z
_atom_site_occupancy
Ta1 Ta 0.000 0.000 0.000 1
Ta2 Ta 0.000 0.171 0.500 1
Ta3 Ta 0.000 0.829 0.500 1
Ta4 Ta 0.500 0.329 0.500 1
Ta5 Ta 0.500 0.500 0.000 1
Ta6 Ta 0.500 0.671 0.500 1
Mo1 Mo 0.000 0.337 0.000 1
Mo2 Mo 0.000 0.500 0.500 1
Mo3 Mo 0.000 0.663 0.000 1
Mo4 Mo 0.500 0.000 0.500 1
Mo5 Mo 0.500 0.163 0.000 1
Mo6 Mo 0.500 0.837 0.000 1
```


6.
Starting from a crystal structure in Alexandria, relaxed with PBE, the X-ray diffraction stick pattern of MgTi6H4O14 was computed for Cu Kα X-rays.
Lines closer than 0.1° are merged.

Most intense lines, 2θ from 10° to 90°, by angle:
2θ 11.0, I = 100
2θ 16.0, I = 15
2θ 23.6, I = 11
2θ 24.2, I = 18
2θ 27.9, I = 8
2θ 28.5, I = 9
2θ 30.6, I = 8
2θ 34.9, I = 13
2θ 42.4, I = 16
2θ 45.2, I = 9
2θ 47.5, I = 13
2θ 48.3, I = 6

Structure:
```
data_MgTi6H4O14
_symmetry_space_group_name_H-M 'P 1'
_symmetry_Int_Tables_number 1
_symmetry_space_group_name_Hall 'P 1'
_cell_length_a 3.834
_cell_length_b 8.351
_cell_length_c 9.614
_cell_angle_alpha 102.14
_cell_angle_beta 90.02
_cell_angle_gamma 100.15
loop_
_atom_site_label
_atom_site_type_symbol
_atom_site_fract_x
_atom_site_fract_y
_atom_site_fract_z
_atom_site_occupancy
Mg1 Mg 0.000 0.000 0.000 1
Ti1 Ti 0.479 0.950 0.779 1
Ti2 Ti 0.525 0.066 0.500 1
Ti3 Ti 0.561 0.161 0.219 1
Ti4 Ti 0.856 0.661 0.832 1
Ti5 Ti 0.902 0.747 0.529 1
Ti6 Ti 0.945 0.856 0.245 1
H1 H 0.062 0.402 0.883 1
H2 H 0.697 0.402 0.069 1
H3 H 0.703 0.303 0.792 1
H4 H 0.743 0.502 0.238 1
O1 O 0.041 0.107 0.203 1
O2 O 0.386 0.705 0.838 1
O3 O 0.431 0.823 0.567 1
O4 O 0.472 0.927 0.279 1
O5 O 0.525 0.066 0.985 1
O6 O 0.560 0.146 0.701 1
O7 O 0.591 0.243 0.419 1
O8 O 0.655 0.390 0.168 1
O9 O 0.816 0.413 0.870 1
O10 O 0.841 0.588 0.626 1
O11 O 0.868 0.668 0.333 1
O12 O 0.911 0.771 0.055 1
O13 O 0.961 0.903 0.787 1
O14 O 0.996 0.992 0.476 1
```


7.
Starting from a crystal structure in Alexandria, relaxed with PBE, the X-ray diffraction stick pattern of Nd3Ga5Rh6 was computed for Cu Kα X-rays.
Lines closer than 0.1° are merged.

Most intense lines, 2θ from 10° to 90°, by angle:
2θ 33.8, I = 13
2θ 35.4, I = 100
2θ 35.9, I = 17
2θ 36.2, I = 35
2θ 36.3, I = 31
2θ 39.0, I = 37
2θ 40.4, I = 16
2θ 41.5, I = 25
2θ 41.7, I = 15
2θ 42.1, I = 61
2θ 56.7, I = 19
2θ 60.5, I = 16

Structure:
```
data_Nd3Ga5Rh6
_symmetry_space_group_name_H-M 'P 1'
_symmetry_Int_Tables_number 1
_symmetry_space_group_name_Hall 'P 1'
_cell_length_a 4.296
_cell_length_b 13.068
_cell_length_c 9.068
_cell_angle_alpha 90.00
_cell_angle_beta 90.00
_cell_angle_gamma 90.00
loop_
_atom_site_label
_atom_site_type_symbol
_atom_site_fract_x
_atom_site_fract_y
_atom_site_fract_z
_atom_site_occupancy
Nd1 Nd 0.250 0.053 0.249 1
Nd2 Nd 0.250 0.447 0.249 1
Nd3 Nd 0.250 0.750 0.228 1
Nd4 Nd 0.750 0.250 0.772 1
Nd5 Nd 0.750 0.553 0.751 1
Nd6 Nd 0.750 0.947 0.751 1
Ga1 Ga 0.250 0.097 0.878 1
Ga2 Ga 0.250 0.403 0.878 1
Ga3 Ga 0.250 0.632 0.520 1
Ga4 Ga 0.250 0.750 0.799 1
Ga5 Ga 0.250 0.868 0.520 1
Ga6 Ga 0.750 0.132 0.480 1
Ga7 Ga 0.750 0.250 0.201 1
Ga8 Ga 0.750 0.368 0.480 1
Ga9 Ga 0.750 0.597 0.122 1
Ga10 Ga 0.750 0.903 0.122 1
Rh1 Rh 0.250 0.061 0.597 1
Rh2 Rh 0.250 0.250 0.050 1
Rh3 Rh 0.250 0.250 0.418 1
Rh4 Rh 0.250 0.439 0.597 1
Rh5 Rh 0.250 0.588 0.976 1
Rh6 Rh 0.250 0.912 0.976 1
Rh7 Rh 0.750 0.088 0.024 1
Rh8 Rh 0.750 0.412 0.024 1
Rh9 Rh 0.750 0.561 0.403 1
Rh10 Rh 0.750 0.750 0.582 1
Rh11 Rh 0.750 0.750 0.950 1
Rh12 Rh 0.750 0.939 0.403 1
```


8.
Starting from a crystal structure in Alexandria, relaxed with PBE, the X-ray diffraction stick pattern of NaSr2C2O6 was computed for Cu Kα X-rays.
Lines closer than 0.1° are merged.

Most intense lines, 2θ from 10° to 90°, by angle:
2θ 22.0, I = 100
2θ 28.9, I = 59
2θ 30.9, I = 53
2θ 32.1, I = 41
2θ 33.6, I = 66
2θ 34.8, I = 32
2θ 41.5, I = 38
2θ 44.8, I = 45
2θ 45.2, I = 30
2θ 45.9, I = 26
2θ 48.6, I = 26
2θ 55.4, I = 26

Structure:
```
data_NaSr2C2O6
_symmetry_space_group_name_H-M 'P 1'
_symmetry_Int_Tables_number 1
_symmetry_space_group_name_Hall 'P 1'
_cell_length_a 5.348
_cell_length_b 5.348
_cell_length_c 6.721
_cell_angle_alpha 116.44
_cell_angle_beta 116.44
_cell_angle_gamma 57.71
loop_
_atom_site_label
_atom_site_type_symbol
_atom_site_fract_x
_atom_site_fract_y
_atom_site_fract_z
_atom_site_occupancy
Na1 Na 0.000 0.000 0.000 1
Sr1 Sr 0.210 0.210 0.708 1
Sr2 Sr 0.790 0.790 0.292 1
C1 C 0.459 0.459 0.236 1
C2 C 0.541 0.541 0.764 1
O1 O 0.236 0.682 0.690 1
O2 O 0.296 0.296 0.152 1
O3 O 0.318 0.764 0.310 1
O4 O 0.682 0.236 0.690 1
O5 O 0.704 0.704 0.848 1
O6 O 0.764 0.318 0.310 1
```